Mo2WSe4S2: calculated XRD peak list (Cu Kα), based on the PBE geometry in the Materials Project.

Largest 12 diffraction maxima, by angle, 2θ from 10° to 90°:
- 2θ 11.7, I = 100
- 2θ 14.7, I = 15
- 2θ 31.5, I = 26
- 2θ 31.6, I = 11
- 2θ 33.7, I = 16
- 2θ 36.3, I = 40
- 2θ 37.9, I = 48
- 2θ 43.8, I = 22
- 2θ 46.0, I = 38
- 2θ 56.1, I = 21
- 2θ 57.5, I = 10
- 2θ 79.6, I = 11

Crystal structure
Lattice parameters (Å, degrees): 3.2791 3.2791 30.1875 90.00 90.00 120.00
Positions (direct):
1 Mo 0.0000 0.0000 0.0000
2 Mo 0.3333 0.6667 0.2313
3 W 0.0000 0.0000 0.4627
4 Se 0.0000 0.0000 0.1754
5 Se 0.0000 0.0000 0.2872
6 Se 0.3333 0.6667 0.4065
7 Se 0.3333 0.6667 0.5190
8 S 0.3333 0.6667 0.0509
9 S 0.3333 0.6667 0.9491

=====

MoWSe3S: calculated XRD peak list (Cu Kα), based on the PBE geometry in the Materials Project.

Largest 12 diffraction maxima, by angle, 2θ from 10° to 90°:
- 2θ 11.8, I = 100
- 2θ 14.2, I = 25
- 2θ 31.5, I = 37
- 2θ 33.7, I = 12
- 2θ 37.0, I = 65
- 2θ 38.3, I = 10
- 2θ 44.8, I = 42
- 2θ 46.7, I = 16
- 2θ 56.0, I = 24
- 2θ 57.4, I = 11
- 2θ 69.0, I = 10
- 2θ 79.4, I = 11

Crystal structure
Lattice parameters (Å, degrees): 3.2862 3.2862 37.3659 90.00 90.00 120.00
Positions (direct):
1 Mo 0.0000 0.0000 0.0000
2 Mo 0.3333 0.6667 0.5636
3 W 0.0000 0.0000 0.3757
4 W 0.3333 0.6667 0.1879
5 Se 0.0000 0.0000 0.5185
6 Se 0.0000 0.0000 0.6088
7 Se 0.3333 0.6667 0.0451
8 Se 0.3333 0.6667 0.3303
9 Se 0.3333 0.6667 0.4211
10 Se 0.3333 0.6667 0.9549
11 S 0.0000 0.0000 0.1466
12 S 0.0000 0.0000 0.2291

=====

MoWSe2S2: calculated XRD peak list (Cu Kα), based on the PBE geometry in the Materials Project.

Largest 12 diffraction maxima, by angle, 2θ from 10° to 90°:
- 2θ 12.0, I = 100
- 2θ 14.4, I = 21
- 2θ 31.8, I = 35
- 2θ 34.1, I = 14
- 2θ 36.1, I = 11
- 2θ 37.4, I = 61
- 2θ 38.8, I = 13
- 2θ 45.4, I = 38
- 2θ 47.2, I = 15
- 2θ 56.6, I = 23
- 2θ 58.1, I = 11
- 2θ 80.4, I = 11

Crystal structure
Lattice parameters (Å, degrees): 3.2539 3.2539 36.8982 90.00 90.00 120.00
Positions (direct):
1 Mo 0.0000 0.0000 0.0000
2 Mo 0.3333 0.6667 0.1879
3 W 0.0000 0.0000 0.3758
4 W 0.3333 0.6667 0.5636
5 Se 0.0000 0.0000 0.1419
6 Se 0.0000 0.0000 0.2338
7 Se 0.3333 0.6667 0.3294
8 Se 0.3333 0.6667 0.4221
9 S 0.0000 0.0000 0.5216
10 S 0.0000 0.0000 0.6056
11 S 0.3333 0.6667 0.0419
12 S 0.3333 0.6667 0.9581

=====

MoW3Se4S4: calculated XRD peak list (Cu Kα), based on the PBE geometry in the Materials Project.

Largest 12 diffraction maxima, by angle, 2θ from 10° to 90°:
- 2θ 12.0, I = 100
- 2θ 14.4, I = 23
- 2θ 31.8, I = 31
- 2θ 34.0, I = 14
- 2θ 36.1, I = 11
- 2θ 37.4, I = 58
- 2θ 38.7, I = 13
- 2θ 45.3, I = 36
- 2θ 47.2, I = 14
- 2θ 56.5, I = 22
- 2θ 58.0, I = 11
- 2θ 80.3, I = 10

Crystal structure
Lattice parameters (Å, degrees): 3.2571 3.2571 36.9414 90.00 90.00 120.00
Positions (direct):
1 Mo 0.0000 0.0000 0.0000
2 W 0.0000 0.0000 0.3758
3 W 0.3333 0.6667 0.1878
4 W 0.3333 0.6667 0.5637
5 Se 0.0000 0.0000 0.1416
6 Se 0.0000 0.0000 0.2341
7 Se 0.3333 0.6667 0.3296
8 Se 0.3333 0.6667 0.4220
9 S 0.0000 0.0000 0.5217
10 S 0.0000 0.0000 0.6056
11 S 0.3333 0.6667 0.0417
12 S 0.3333 0.6667 0.9582

=====

MoWSe2S2: calculated XRD peak list (Cu Kα), based on the PBE geometry in the Materials Project.

Largest 12 diffraction maxima, by angle, 2θ from 10° to 90°:
- 2θ 12.0, I = 100
- 2θ 14.4, I = 23
- 2θ 31.8, I = 29
- 2θ 32.6, I = 10
- 2θ 34.0, I = 16
- 2θ 37.4, I = 62
- 2θ 40.3, I = 12
- 2θ 45.3, I = 37
- 2θ 47.2, I = 12
- 2θ 56.5, I = 19
- 2θ 58.0, I = 10
- 2θ 69.8, I = 10

Crystal structure
Lattice parameters (Å, degrees): 3.2555 3.2555 36.8930 90.00 90.00 120.00
Positions (direct):
1 Mo 0.0000 0.0000 0.0000
2 Mo 0.0000 0.0000 0.3757
3 W 0.3333 0.6667 0.1879
4 W 0.3333 0.6667 0.5637
5 Se 0.0000 0.0000 0.5174
6 Se 0.0000 0.0000 0.6100
7 Se 0.3333 0.6667 0.0461
8 Se 0.3333 0.6667 0.9540
9 S 0.0000 0.0000 0.1459
10 S 0.0000 0.0000 0.2300
11 S 0.3333 0.6667 0.3339
12 S 0.3333 0.6667 0.4176

=====

MoWSe3S: calculated XRD peak list (Cu Kα), based on the PBE geometry in the Materials Project.

Largest 12 diffraction maxima, by angle, 2θ from 10° to 90°:
- 2θ 11.8, I = 100
- 2θ 14.2, I = 23
- 2θ 31.4, I = 35
- 2θ 33.6, I = 12
- 2θ 35.7, I = 12
- 2θ 36.9, I = 64
- 2θ 38.3, I = 14
- 2θ 44.7, I = 43
- 2θ 46.6, I = 17
- 2θ 55.9, I = 26
- 2θ 57.3, I = 11
- 2θ 79.2, I = 12

Crystal structure
Lattice parameters (Å, degrees): 3.2913 3.2913 37.4233 90.00 90.00 120.00
Positions (direct):
1 Mo 0.0000 0.0000 0.0000
2 Mo 0.3333 0.6667 0.5636
3 W 0.0000 0.0000 0.3757
4 W 0.3333 0.6667 0.1879
5 Se 0.0000 0.0000 0.1426
6 Se 0.0000 0.0000 0.2331
7 Se 0.0000 0.0000 0.5186
8 Se 0.0000 0.0000 0.6087
9 Se 0.3333 0.6667 0.3305
10 Se 0.3333 0.6667 0.4210
11 S 0.3333 0.6667 0.0410
12 S 0.3333 0.6667 0.9590

=====

MoWSe2S2: calculated XRD peak list (Cu Kα), based on the PBE geometry in the Materials Project.

Largest 12 diffraction maxima, by angle, 2θ from 10° to 90°:
- 2θ 12.2, I = 100
- 2θ 14.6, I = 21
- 2θ 19.5, I = 10
- 2θ 31.8, I = 40
- 2θ 34.1, I = 16
- 2θ 37.5, I = 69
- 2θ 45.7, I = 39
- 2θ 47.6, I = 14
- 2θ 56.5, I = 22
- 2θ 58.1, I = 11
- 2θ 69.9, I = 12
- 2θ 81.1, I = 11

Crystal structure
Lattice parameters (Å, degrees): 3.2558 3.2558 36.3569 90.00 90.00 120.00
Positions (direct):
1 Mo 0.0000 0.0000 0.0000
2 Mo 0.0000 0.0000 0.3758
3 W 0.3333 0.6667 0.1879
4 W 0.3333 0.6667 0.5636
5 Se 0.3333 0.6667 0.0468
6 Se 0.3333 0.6667 0.3290
7 Se 0.3333 0.6667 0.4225
8 Se 0.3333 0.6667 0.9532
9 S 0.0000 0.0000 0.1452
10 S 0.0000 0.0000 0.2306
11 S 0.0000 0.0000 0.5209
12 S 0.0000 0.0000 0.6063

=====

MoW3Se6S2: calculated XRD peak list (Cu Kα), based on the PBE geometry in the Materials Project.

Largest 12 diffraction maxima, by angle, 2θ from 10° to 90°:
- 2θ 11.8, I = 100
- 2θ 14.2, I = 24
- 2θ 31.4, I = 30
- 2θ 33.7, I = 13
- 2θ 37.0, I = 62
- 2θ 44.8, I = 39
- 2θ 46.6, I = 14
- 2θ 56.0, I = 21
- 2θ 57.4, I = 11
- 2θ 69.0, I = 10
- 2θ 74.4, I = 9
- 2θ 79.3, I = 10

Crystal structure
Lattice parameters (Å, degrees): 3.2867 3.2867 37.3892 90.00 90.00 120.00
Positions (direct):
1 Mo 0.0000 0.0000 0.0000
2 W 0.0000 0.0000 0.3758
3 W 0.3333 0.6667 0.1879
4 W 0.3333 0.6667 0.5636
5 Se 0.0000 0.0000 0.1425
6 Se 0.0000 0.0000 0.2333
7 Se 0.0000 0.0000 0.5182
8 Se 0.0000 0.0000 0.6090
9 Se 0.3333 0.6667 0.0451
10 Se 0.3333 0.6667 0.9549
11 S 0.3333 0.6667 0.3345
12 S 0.3333 0.6667 0.4170

=====

MoW3Se4S4: calculated XRD peak list (Cu Kα), based on the PBE geometry in the Materials Project.

Largest 12 diffraction maxima, by angle, 2θ from 10° to 90°:
- 2θ 12.0, I = 100
- 2θ 14.4, I = 25
- 2θ 31.8, I = 28
- 2θ 32.6, I = 11
- 2θ 34.1, I = 13
- 2θ 37.4, I = 58
- 2θ 45.3, I = 35
- 2θ 47.2, I = 13
- 2θ 56.6, I = 20
- 2θ 58.0, I = 11
- 2θ 69.8, I = 9
- 2θ 80.4, I = 10

Crystal structure
Lattice parameters (Å, degrees): 3.2540 3.2540 36.9188 90.00 90.00 120.00
Positions (direct):
1 Mo 0.0000 0.0000 0.0000
2 W 0.0000 0.0000 0.3757
3 W 0.3333 0.6667 0.1879
4 W 0.3333 0.6667 0.5636
5 Se 0.0000 0.0000 0.1416
6 Se 0.0000 0.0000 0.2342
7 Se 0.0000 0.0000 0.5173
8 Se 0.0000 0.0000 0.6099
9 S 0.3333 0.6667 0.0419
10 S 0.3333 0.6667 0.3338
11 S 0.3333 0.6667 0.4177
12 S 0.3333 0.6667 0.9581

=====

MoW3Se6S2: calculated XRD peak list (Cu Kα), based on the PBE geometry in the Materials Project.

Largest 12 diffraction maxima, by angle, 2θ from 10° to 90°:
- 2θ 11.8, I = 100
- 2θ 14.2, I = 18
- 2θ 31.5, I = 32
- 2θ 33.7, I = 14
- 2θ 37.0, I = 65
- 2θ 44.8, I = 41
- 2θ 46.6, I = 14
- 2θ 56.0, I = 22
- 2θ 57.4, I = 11
- 2θ 69.0, I = 10
- 2θ 74.4, I = 9
- 2θ 79.3, I = 11

Crystal structure
Lattice parameters (Å, degrees): 3.2865 3.2865 37.4003 90.00 90.00 120.00
Positions (direct):
1 Mo 0.0000 0.0000 0.0000
2 W 0.0000 0.0000 0.6243
3 W 0.3333 0.6667 0.1879
4 W 0.3333 0.6667 0.8121
5 Se 0.0000 0.0000 0.1425
6 Se 0.0000 0.0000 0.2332
7 Se 0.0000 0.0000 0.7668
8 Se 0.0000 0.0000 0.8575
9 Se 0.3333 0.6667 0.0451
10 Se 0.3333 0.6667 0.9549
11 S 0.3333 0.6667 0.5831
12 S 0.3333 0.6667 0.6654

=====

MoWSe3S: calculated XRD peak list (Cu Kα), based on the PBE geometry in the Materials Project.

Largest 12 diffraction maxima, by angle, 2θ from 10° to 90°:
- 2θ 11.7, I = 100
- 2θ 14.0, I = 21
- 2θ 31.4, I = 33
- 2θ 33.6, I = 13
- 2θ 36.8, I = 61
- 2θ 44.5, I = 42
- 2θ 46.3, I = 16
- 2θ 55.9, I = 19
- 2θ 57.3, I = 10
- 2θ 68.8, I = 10
- 2θ 74.1, I = 9
- 2θ 78.7, I = 11

Crystal structure
Lattice parameters (Å, degrees): 3.2902 3.2902 37.8982 90.00 90.00 120.00
Positions (direct):
1 Mo 0.0000 0.0000 0.0000
2 Mo 0.3333 0.6667 0.1879
3 W 0.0000 0.0000 0.3757
4 W 0.3333 0.6667 0.5636
5 Se 0.0000 0.0000 0.1434
6 Se 0.0000 0.0000 0.2324
7 Se 0.3333 0.6667 0.0445
8 Se 0.3333 0.6667 0.3310
9 Se 0.3333 0.6667 0.4205
10 Se 0.3333 0.6667 0.9555
11 S 0.0000 0.0000 0.5230
12 S 0.0000 0.0000 0.6043

=====

SmMo6S8: calculated XRD peak list (Cu Kα), based on the PBE geometry in the Materials Project.

Largest 12 diffraction maxima, by angle, 2θ from 10° to 90°:
- 2θ 13.6, I = 93
- 2θ 19.1, I = 75
- 2θ 19.4, I = 60
- 2θ 23.8, I = 35
- 2θ 30.9, I = 83
- 2θ 33.8, I = 74
- 2θ 40.9, I = 62
- 2θ 41.9, I = 90
- 2θ 43.7, I = 72
- 2θ 44.2, I = 38
- 2θ 46.3, I = 100
- 2θ 60.4, I = 32

Crystal structure
Lattice parameters (Å, degrees): 6.5152 6.5152 6.5152 88.98 88.98 88.98
Positions (direct):
1 Sm 0.0000 0.0000 0.0000
2 Mo 0.2241 0.4199 0.5618
3 Mo 0.4199 0.5618 0.2241
4 Mo 0.4382 0.7759 0.5801
5 Mo 0.5618 0.2241 0.4199
6 Mo 0.5801 0.4382 0.7759
7 Mo 0.7759 0.5801 0.4382
8 S 0.1272 0.7523 0.3723
9 S 0.2412 0.2412 0.2412
10 S 0.2477 0.6277 0.8728
11 S 0.3723 0.1272 0.7523
12 S 0.6277 0.8728 0.2477
13 S 0.7523 0.3723 0.1272
14 S 0.7588 0.7588 0.7588
15 S 0.8728 0.2477 0.6277

=====

Copy entry 12 word for word.
SmMo6S8: calculated XRD peak list (Cu Kα), based on the PBE geometry in the Materials Project.

Largest 12 diffraction maxima, by angle, 2θ from 10° to 90°:
- 2θ 13.6, I = 93
- 2θ 19.1, I = 75
- 2θ 19.4, I = 60
- 2θ 23.8, I = 35
- 2θ 30.9, I = 83
- 2θ 33.8, I = 74
- 2θ 40.9, I = 62
- 2θ 41.9, I = 90
- 2θ 43.7, I = 72
- 2θ 44.2, I = 38
- 2θ 46.3, I = 100
- 2θ 60.4, I = 32

Crystal structure
Lattice parameters (Å, degrees): 6.5152 6.5152 6.5152 88.98 88.98 88.98
Positions (direct):
1 Sm 0.0000 0.0000 0.0000
2 Mo 0.2241 0.4199 0.5618
3 Mo 0.4199 0.5618 0.2241
4 Mo 0.4382 0.7759 0.5801
5 Mo 0.5618 0.2241 0.4199
6 Mo 0.5801 0.4382 0.7759
7 Mo 0.7759 0.5801 0.4382
8 S 0.1272 0.7523 0.3723
9 S 0.2412 0.2412 0.2412
10 S 0.2477 0.6277 0.8728
11 S 0.3723 0.1272 0.7523
12 S 0.6277 0.8728 0.2477
13 S 0.7523 0.3723 0.1272
14 S 0.7588 0.7588 0.7588
15 S 0.8728 0.2477 0.6277